Record 1
The following is a computed PXRD pattern of Ba4Sr5Li2. It was derived from a crystal structure in Alexandria, relaxed with GGA-PBE, using Cu Kα, 1.54184 Å.

Cell and atoms:
Unit cell a=10.4901 b=4.4450 c=12.6921 alpha=90.00 beta=94.43 gamma=90.00
Space group P2/m (No. 10)
One atom of each set of equivalent atoms:
Ba1 0.1868 0.0000 0.3472 [2 per cell]
Ba2 0.2098 0.0000 0.9445 [2 per cell]
Sr1 0.1622 0.5000 0.6439 [2 per cell]
Sr2 0.4651 0.5000 0.1711 [2 per cell]
Sr3 0.5000 0.5000 0.5000 [1 per cell]
Li1 0.0640 0.5000 0.1315 [2 per cell]

Principal peaks in the range 5° ≤ 2θ ≤ 70°, in order of rising 2θ:
hkl  2theta  d_spacing  I (rel.)
2 0 0  16.94  5.233  20
1 1 0  21.72  4.091  24
1 0 3  23.34  3.811  45
3 0 0  25.56  3.485  95
2 0 -3  26.10  3.415  39
1 1 2  26.31  3.388  100
2 1 1  27.60  3.232  25
2 0 3  28.21  3.164  26
0 1 3  29.23  3.055  52
0 2 0  40.59  2.223  21
4 1 -2  41.64  2.169  19
4 1 2  43.53  2.079  19


Record 2
The following is a computed PXRD pattern of Sm3GaCo3. It was derived from a crystal structure in Alexandria, relaxed with GGA-PBE, using Cu Kα, 1.54184 Å.

Cell and atoms:
Unit cell a=4.1663 b=10.1315 c=13.0929 alpha=90.00 beta=90.00 gamma=90.00
Space group Cmcm (No. 63)
One atom of each set of equivalent atoms:
Sm1 0.0000 0.0003 0.2500 [4 per cell]
Sm2 0.0000 0.2912 0.1027 [8 per cell]
Ga1 0.0000 0.0000 0.0000 [4 per cell]
Co1 0.0000 0.3061 0.7500 [4 per cell]
Co2 0.0000 0.4195 0.5947 [8 per cell]

Principal peaks in the range 5° ≤ 2θ ≤ 70°, in order of rising 2θ:
hkl  2theta  d_spacing  I (rel.)
1 1 3  30.96  2.889  82
0 2 4  32.57  2.749  60
1 3 0  34.18  2.624  100
1 1 4  36.00  2.495  90
1 3 3  40.10  2.249  69
0 4 3  41.21  2.191  43
0 0 6  41.38  2.182  29
2 0 0  43.44  2.083  56
2 2 4  55.33  1.660  27
2 4 3  61.42  1.510  26
2 0 6  61.57  1.506  28
1 7 0  68.64  1.367  25


Record 3
The following is a computed PXRD pattern of Er2ThAg2Hg2. It was derived from a crystal structure in Alexandria, relaxed with GGA-PBE, using Cu Kα, 1.54184 Å.

Cell and atoms:
Unit cell a=4.8698 b=4.8698 c=26.0457 alpha=90.00 beta=90.00 gamma=120.00
Space group R-3m (No. 166, hexagonal axes)
One atom of each set of equivalent atoms:
Er1 0.0000 0.0000 0.1249 [6 per cell]
Th1 0.0000 0.0000 0.0000 [3 per cell]
Ag1 0.0000 0.0000 0.4012 [6 per cell]
Hg1 0.0000 0.0000 0.2549 [6 per cell]

Principal peaks in the range 5° ≤ 2θ ≤ 70°, in order of rising 2θ:
hkl  2theta  d_spacing  I (rel.)
0 0 6  20.46  4.341  14
1 0 1  21.34  4.163  19
1 0 7  32.08  2.790  40
0 1 8  34.81  2.577  84
1 1 0  36.92  2.435  100
1 1 6  42.57  2.124  13
0 2 7  49.70  1.835  12
2 0 8  51.64  1.770  28
2 1 7  63.49  1.465  12
1 2 8  65.16  1.432  28
1 1 15  66.09  1.414  19
3 0 0  66.51  1.406  18


Record 4
The following is a computed PXRD pattern of Pa4Ga8Ni. It was derived from a crystal structure in Alexandria, relaxed with GGA-PBE, using Cu Kα, 1.54184 Å.

Cell and atoms:
Unit cell a=4.1337 b=4.2929 c=14.4599 alpha=90.00 beta=90.00 gamma=90.00
Space group Pmm2 (No. 25)
One atom of each set of equivalent atoms:
Pa1 0.0000 0.0000 0.0000 [1 per cell]
Pa2 0.0000 0.5000 0.4496 [1 per cell]
Pa3 0.5000 0.0000 0.7778 [1 per cell]
Pa4 0.5000 0.5000 0.3164 [1 per cell]
Ga1 0.0000 0.0000 0.2859 [1 per cell]
Ga2 0.0000 0.0000 0.6057 [1 per cell]
Ga3 0.0000 0.5000 0.1482 [1 per cell]
Ga4 0.0000 0.5000 0.8452 [1 per cell]
Ga5 0.5000 0.0000 0.1581 [1 per cell]
Ga6 0.5000 0.0000 0.4735 [1 per cell]
Ga7 0.5000 0.5000 0.6070 [1 per cell]
Ga8 0.5000 0.5000 0.9521 [1 per cell]
Ni1 0.0000 0.5000 0.6839 [1 per cell]

Principal peaks in the range 5° ≤ 2θ ≤ 70°, in order of rising 2θ:
hkl  2theta  d_spacing  I (rel.)
0 1 1  21.59  4.116  22
1 0 2  24.81  3.589  20
1 1 1  30.65  2.916  12
0 1 4  32.38  2.765  11
1 1 3  35.43  2.533  100
0 0 6  37.31  2.410  11
1 0 5  37.97  2.370  10
1 1 4  39.20  2.298  11
0 2 0  42.10  2.146  22
2 0 0  43.81  2.067  24
1 0 7  49.33  1.847  14
2 2 0  62.37  1.489  17


Record 5
The following is a computed PXRD pattern of VBH2Au. It was derived from a crystal structure in Alexandria, relaxed with GGA-PBE, using Cu Kα, 1.54184 Å.

Cell and atoms:
Unit cell a=3.3435 b=3.3435 c=4.2790 alpha=90.00 beta=90.00 gamma=90.00
Space group P4/mmm (No. 123)
One atom of each set of equivalent atoms:
V1 0.0000 0.0000 0.0000 [1 per cell]
B1 0.0000 0.0000 0.5000 [1 per cell]
H1 0.0000 0.5000 0.0000 [2 per cell]
Au1 0.5000 0.5000 0.5000 [1 per cell]

Principal peaks in the range 5° ≤ 2θ ≤ 70°, in order of rising 2θ:
hkl  2theta  d_spacing  I (rel.)
0 0 1  20.76  4.279  33
1 0 0  26.66  3.344  30
1 0 1  34.03  2.635  100
1 1 0  38.06  2.364  41
0 0 2  42.24  2.139  16
1 1 1  43.74  2.069  22
1 0 2  50.65  1.802  12
2 0 0  54.92  1.672  14
1 1 2  58.15  1.586  24
2 0 1  59.35  1.557  9
2 1 0  62.07  1.495  7
2 1 1  66.21  1.412  29


Record 6
The following is a computed PXRD pattern of Pr4YS4. It was derived from a crystal structure in Alexandria, relaxed with GGA-PBE, using Cu Kα, 1.54184 Å.

Cell and atoms:
Unit cell a=9.0003 b=9.0003 c=5.7887 alpha=90.00 beta=90.00 gamma=90.00
Space group I4/m (No. 87)
One atom of each set of equivalent atoms:
Pr1 0.0991 0.6983 0.0000 [8 per cell]
Y1 0.0000 0.0000 0.5000 [2 per cell]
S1 0.0972 0.7071 0.5000 [8 per cell]

Principal peaks in the range 5° ≤ 2θ ≤ 70°, in order of rising 2θ:
hkl  2theta  d_spacing  I (rel.)
1 1 0  13.92  6.364  6
2 0 0  19.73  4.500  3
1 2 1  26.98  3.305  100
0 0 2  30.89  2.894  41
3 1 0  31.43  2.846  79
3 1 2  44.65  2.029  58
2 4 0  45.05  2.013  28
1 2 3  52.60  1.740  17
5 0 1  53.30  1.719  32
2 4 2  55.62  1.652  30
0 0 4  64.38  1.447  5
6 2 0  65.60  1.423  9


Record 7
The following is a computed PXRD pattern of La5YHo2. It was derived from a crystal structure in Alexandria, relaxed with GGA-PBE, using Cu Kα, 1.54184 Å.

Cell and atoms:
Unit cell a=5.7931 b=17.0460 c=11.6116 alpha=90.00 beta=90.00 gamma=90.00
Space group Cmcm (No. 63)
One atom of each set of equivalent atoms:
La1 0.0000 0.0470 0.1146 [8 per cell]
La2 0.0000 0.3895 0.7500 [4 per cell]
La3 0.0000 0.4111 0.0847 [8 per cell]
Y1 0.0000 0.2296 0.2500 [4 per cell]
Ho1 0.0000 0.2160 0.5822 [8 per cell]

Principal peaks in the range 5° ≤ 2θ ≤ 70°, in order of rising 2θ:
hkl  2theta  d_spacing  I (rel.)
1 3 1  23.23  3.830  11
0 2 3  25.27  3.524  19
1 5 0  30.42  2.938  39
2 0 0  30.87  2.897  44
0 6 0  31.45  2.845  18
1 3 3  31.96  2.800  100
2 2 3  40.30  2.238  11
0 8 3  48.79  1.867  15
3 3 3  55.59  1.653  21
1 5 6  56.98  1.616  13
2 0 6  57.25  1.609  10
2 8 3  58.86  1.569  18


Record 8
The following is a computed PXRD pattern of Mg3InAg5. It was derived from a crystal structure in Alexandria, relaxed with GGA-PBE, using Cu Kα, 1.54184 Å.

Cell and atoms:
Unit cell a=8.1731 b=8.1731 c=5.9057 alpha=90.00 beta=90.00 gamma=120.00
Space group P6_3/mcm (No. 193)
One atom of each set of equivalent atoms:
Mg1 0.0000 0.3535 0.2500 [6 per cell]
In1 0.0000 0.0000 0.0000 [2 per cell]
Ag1 0.0000 0.3203 0.7500 [6 per cell]
Ag2 0.3333 0.6667 0.0000 [4 per cell]

Principal peaks in the range 5° ≤ 2θ ≤ 70°, in order of rising 2θ:
hkl  2theta  d_spacing  I (rel.)
1 1 0  21.75  4.087  13
1 1 1  26.52  3.360  43
1 1 2  37.58  2.393  100
3 0 0  38.14  2.359  89
2 2 1  47.06  1.931  8
1 1 3  51.53  1.774  6
2 2 2  54.62  1.680  32
4 1 1  62.12  1.494  7
0 0 4  62.95  1.476  7
2 2 3  65.88  1.418  3
4 1 2  68.56  1.369  30
3 3 0  68.94  1.362  14